For Ce2ZrO6, a crystal structure in the Materials Project, relaxed with PBE gives the theoretical powder XRD pattern in this record (λ = 1.5418 Å (Cu Kα)).
Kinematic intensities with the Lorentz-polarization factor, no thermal factor.

Atomic structure:
```
Ce2ZrO6
1.0
-1.9017 2.6824 5.6683
1.9017 -2.6824 5.6683
1.9017 2.6824 -5.6683
Ce Zr O
2 1 6
Cartesian
0.0000 0.0000 1.8653
0.0000 0.0000 9.4713
0.0000 0.0000 5.6683
1.9017 1.3757 -1.8224
0.0000 1.4143 0.0000
1.9017 1.3757 1.8224
0.0000 1.3067 3.8459
0.0000 3.9505 0.0000
0.0000 1.3067 7.4907
```

Main lines, in order of rising 2θ (5 to 70 degrees two-theta):
2θ (°), I/Imax
28.77, 100.0
28.90, 98.9
33.42, 53.4
47.83, 18.8
47.98, 74.0
48.16, 18.2
56.87, 43.5
56.97, 14.4
57.07, 28.5
59.59, 8.2



For CeZrO4, a crystal structure in the Materials Project, relaxed with PBE gives the theoretical powder XRD pattern in this record (λ = 1.5418 Å (Cu Kα)).
Kinematic intensities with the Lorentz-polarization factor, no thermal factor.

Atomic structure:
```
CeZrO4
1.0
1.8884 1.0903 6.0675
-1.8884 1.0903 6.0675
0.0000 -2.1805 6.0675
Ce Zr O
1 1 4
Cartesian
0.0000 0.0000 0.0000
0.0000 0.0000 9.1012
0.0000 0.0000 2.3608
0.0000 0.0000 6.9039
0.0000 0.0000 11.2986
0.0000 0.0000 15.8417
```

Main lines, in order of rising 2θ (5 to 70 degrees two-theta):
2θ (°), I/Imax
14.60, 4.9
29.01, 100.0
29.44, 32.3
33.75, 33.8
48.19, 38.3
48.75, 36.5
57.23, 14.4
57.48, 28.6
57.98, 13.8
60.12, 7.4